Computed X-ray diffraction stick pattern
Compound: Pr3Nd4Ho3
Radiation: copper Kα
Structure: a structure optimized by DFT (GGA-PBE)
No peak broadening, texture or thermal motion is included.

Atomic structure:
Unit cell a=3.8297 b=13.3855 c=13.5317 alpha=90.00 beta=90.00 gamma=90.00
Space group Amm2 (No. 38)
Unique sites:
Pr 0.0000 0.0000 0.0000
Pr 0.0000 0.1696 0.6691
Nd 0.5000 0.0000 0.5366
Nd 0.5000 0.0000 0.8010
Nd 0.5000 0.1299 0.1722
Ho 0.0000 0.0000 0.3398
Ho 0.5000 0.2458 0.4185

Principal peaks in the range 2θ from 10° to 80°, by angle:
| Position (°2θ) | I/Imax | hkl |
| --- | --- | --- |
| 29.59 | 64 | 0 2 4 |
| 29.79 | 64 | 0 4 2 |
| 29.95 | 53 | 1 2 2 |
| 31.36 | 100 | 1 1 3 |
| 31.49 | 94 | 1 3 1 |
| 47.48 | 24 | 2 0 0 |
| 54.83 | 21 | 0 8 0 |
| 56.95 | 20 | 2 2 4 |
| 57.06 | 21 | 2 4 2 |
| 57.62 | 19 | 1 7 3 |